# 1
For AlAgSn, a crystal structure in Alexandria, relaxed with GGA-PBE gives the computed powder X-ray diffraction pattern in this record (a wavelength of 1.5418 Å).

Unit cell a=4.750 b=3.224 c=8.427 alpha=90.00 beta=104.09 gamma=90.00
Space group P2_1/m (No. 11)
Inequivalent atoms, fractional coordinates:
Al (0.232, 0.250, 0.479) [2 per cell]
Ag (0.364, 0.750, 0.238) [2 per cell]
Sn (0.188, 0.750, 0.870) [2 per cell]

Most intense lines, 10° ≤ 2θ ≤ 90°, low angle first:
| 2theta | I (rel.) | index |
| --- | --- | --- |
| 10.82 | 59 | 0 0 1 |
| 21.75 | 28 | 0 0 2 |
| 32.64 | 38 | 1 0 2 |
| 32.88 | 24 | 0 0 3 |
| 33.93 | 91 | 1 1 0 |
| 34.19 | 100 | 1 1 -1 |
| 35.47 | 18 | 0 1 2 |
| 37.91 | 39 | 2 0 -1 |
| 43.31 | 43 | 1 1 2 |
| 43.49 | 42 | 0 1 3 |

# 2
For Pm3Pr5Ho2, a crystal structure in Alexandria, relaxed with GGA-PBE gives the computed powder X-ray diffraction pattern in this record (a wavelength of 1.5418 Å).

Unit cell a=10.920 b=14.978 c=10.168 alpha=90.00 beta=122.43 gamma=90.00
Space group C2/c (No. 15)
Inequivalent atoms, fractional coordinates:
Pm (0.000, 0.021, 0.250) [4 per cell]
Pm (0.152, 0.375, 0.558) [8 per cell]
Pr (0.000, 0.228, 0.250) [4 per cell]
Pr (0.000, 0.270, 0.750) [4 per cell]
Pr (0.000, 0.479, 0.750) [4 per cell]
Pr (0.244, 0.123, 0.742) [8 per cell]
Ho (0.155, 0.123, 0.057) [8 per cell]

Most intense lines, 10° ≤ 2θ ≤ 90°, low angle first:
| 2theta | I (rel.) | index |
| --- | --- | --- |
| 29.03 | 95 | 2 2 -3 |
| 30.77 | 100 | 2 4 0 |
| 31.72 | 21 | 0 4 2 |
| 32.80 | 46 | 4 0 -2 |
| 33.53 | 18 | 0 2 3 |
| 35.42 | 24 | 2 0 2 |
| 48.39 | 22 | 0 6 3 |
| 57.30 | 17 | 6 4 -4 |
| 61.84 | 26 | 2 4 -6 |
| 68.55 | 17 | 2 10 -3 |

# 3
For La4PrY, a crystal structure in Alexandria, relaxed with GGA-PBE gives the computed powder X-ray diffraction pattern in this record (a wavelength of 1.5418 Å).

Unit cell a=3.695 b=5.254 c=11.065 alpha=90.00 beta=90.00 gamma=90.00
Space group Pmmm (No. 47)
Inequivalent atoms, fractional coordinates:
La (0.000, 0.000, 0.168) [2 per cell]
La (0.500, 0.500, 0.328) [2 per cell]
Pr (0.000, 0.000, 0.500) [1 per cell]
Y (0.500, 0.500, 0.000) [1 per cell]

Most intense lines, 10° ≤ 2θ ≤ 90°, low angle first:
| 2theta | I (rel.) | index |
| --- | --- | --- |
| 29.57 | 100 | 1 1 0 |
| 34.13 | 17 | 0 2 0 |
| 34.35 | 33 | 1 0 3 |
| 49.21 | 24 | 1 2 3 |
| 49.32 | 6 | 2 0 0 |
| 49.42 | 6 | 0 0 6 |
| 58.31 | 14 | 1 3 0 |
| 58.61 | 28 | 2 1 3 |
| 61.38 | 12 | 2 2 0 |
| 82.54 | 8 | 3 0 3 |